Starting from a GGA-PBE-relaxed structure, the powder XRD pattern of Sc2ZnSnPd4 was simulated for copper Kα.
Neutral-atom scattering factors, no anomalous dispersion.

Largest 12 diffraction maxima, by intensity, 5° ≤ 2θ ≤ 70°:
hkl 1 1 0, 39.43 deg, I 100.0; hkl 0 1 8, 39.23 deg, I 99.9; hkl 2 0 8, 56.84 deg, I 33.0; hkl 1 0 4, 27.53 deg, I 11.6; hkl 0 1 2, 23.82 deg, I 7.7; hkl 2 0 2, 46.54 deg, I 3.9; hkl 0 1 5, 30.03 deg, I 2.9; hkl 0 2 4, 48.76 deg, I 2.4; hkl 0 0 6, 23.67 deg, I 2.1; hkl 2 1 4, 64.43 deg, I 2.1; hkl 1 1 12, 64.15 deg, I 1.8; hkl 1 0 10, 46.33 deg, I 1.8

Crystal structure
```
data_Sc2ZnSnPd4
_cell_length_a 4.5707
_cell_length_b 4.5707
_cell_length_c 22.5549
_cell_angle_alpha 90.00
_cell_angle_beta 90.00
_cell_angle_gamma 120.00
_symmetry_space_group_name_H-M 'R -3 m'
_symmetry_Int_Tables_number 166
_symmetry_space_group_name_Hall '-R 3 2"'
loop_
_atom_site_label
_atom_site_type_symbol
_atom_site_fract_x
_atom_site_fract_y
_atom_site_fract_z
Sc1 Sc 0.0000 0.0000 0.2477
Zn1 Zn 0.0000 0.0000 0.5000
Sn1 Sn 0.0000 0.0000 0.0000
Pd1 Pd 0.0000 0.0000 0.1275
Pd2 Pd 0.0000 0.0000 0.3785
```